For Al2CrF8, a crystal structure in Alexandria, relaxed with GGA+U gives the computed X-ray powder pattern in this record (Cu Kα (weighted mean of Kα1 and Kα2)).
Intensities are scaled so that the largest is 1000.

Cell and atoms:
a b c (Å): 5.7401 5.7401 6.3274
angles (deg): 90.00 90.00 120.00
Space group P-3m1 (No. 164)
One atom of each set of equivalent atoms:
Al1 0.3333 0.6667 0.2952 x2
Cr1 0.0000 0.0000 0.0000 x1
F1 0.1741 0.3482 0.1922 x6
F2 0.3333 0.6667 0.5596 x2

Largest 8 diffraction maxima, sorted by position, 15° ≤ 2θ ≤ 90°:
hkl 0 1 1, 22.7 deg, d 3.909, intensity 1000
hkl 1 1 0, 31.2 deg, d 2.870, intensity 213
hkl 0 1 2, 33.6 deg, d 2.669, intensity 95
hkl 0 2 1, 38.9 deg, d 2.313, intensity 137
hkl 0 2 2, 46.5 deg, d 1.955, intensity 170
hkl 1 2 1, 50.7 deg, d 1.801, intensity 186
hkl 1 1 3, 53.9 deg, d 1.700, intensity 83
hkl 2 2 0, 65.0 deg, d 1.435, intensity 108